Computed powder X-ray diffraction pattern
Compound: Hf8HgBi2
Radiation: Cu Kα
Structure: DFT lattice parameters and positions (GGA-PBE)
Intensities are scaled so that the largest is 100.

Cell and atoms:
a = 8.014 Å, b = 8.014 Å, c = 5.910 Å
α = 91.71°, β = 91.71°, γ = 42.93°
Fractional positions:
Hf  0.086  0.086  0.896
Hf  0.153  0.677  0.639
Hf  0.291  0.291  0.115
Hf  0.323  0.847  0.361
Hf  0.677  0.153  0.639
Hf  0.709  0.709  0.885
Hf  0.847  0.323  0.361
Hf  0.914  0.914  0.104
Hg  0.500  0.500  0.000
Bi  0.241  0.241  0.624
Bi  0.759  0.759  0.376

The 8 most intense peaks (2θ = 10–90°), sorted by position:
| 2theta | I (rel.) |
| --- | --- |
| 32.98 | 45 |
| 33.72 | 38 |
| 34.14 | 47 |
| 36.15 | 41 |
| 36.43 | 100 |
| 36.68 | 54 |
| 38.16 | 66 |
| 39.10 | 70 |


Computed powder X-ray diffraction pattern
Compound: Hf5HgBi
Radiation: Cu Kα
Structure: DFT lattice parameters and positions (GGA-PBE)
Intensities are scaled so that the largest is 100.

Cell and atoms:
a = 7.971 Å, b = 7.971 Å, c = 5.947 Å
α = 110.42°, β = 110.42°, γ = 82.64°
Fractional positions:
Hf  0.019  0.981  0.750
Hf  0.132  0.351  0.990
Hf  0.246  0.751  0.019
Hf  0.249  0.754  0.481
Hf  0.351  0.132  0.490
Hf  0.649  0.868  0.510
Hf  0.751  0.246  0.519
Hf  0.754  0.249  0.981
Hf  0.868  0.649  0.010
Hf  0.981  0.019  0.250
Hg  0.490  0.510  0.750
Hg  0.510  0.490  0.250
Bi  0.000  0.500  0.500
Bi  0.500  0.000  0.000

The 8 most intense peaks (2θ = 10–90°), sorted by position:
| 2theta | I (rel.) |
| --- | --- |
| 29.57 | 16 |
| 30.07 | 19 |
| 33.84 | 100 |
| 34.06 | 24 |
| 34.43 | 35 |
| 34.67 | 25 |
| 38.20 | 80 |
| 39.22 | 39 |


Computed powder X-ray diffraction pattern
Compound: HfBi3I
Radiation: Cu Kα
Structure: DFT lattice parameters and positions (GGA-PBE)
Intensities are scaled so that the largest is 100.

Cell and atoms:
a = 5.662 Å, b = 5.662 Å, c = 5.662 Å
α = 90.00°, β = 90.00°, γ = 90.00°
Fractional positions:
Hf  0.000  0.000  0.000
Bi  0.000  0.000  0.500
Bi  0.000  0.500  0.000
Bi  0.500  0.000  0.000
I  0.500  0.500  0.500

The 8 most intense peaks (2θ = 10–90°), sorted by position:
| 2theta | I (rel.) |
| --- | --- |
| 15.65 | 40 |
| 27.28 | 74 |
| 31.60 | 100 |
| 45.30 | 75 |
| 53.69 | 35 |
| 56.28 | 27 |
| 75.01 | 35 |
| 83.67 | 27 |


Computed powder X-ray diffraction pattern
Compound: Hf5In2Bi2
Radiation: Cu Kα
Structure: DFT lattice parameters and positions (GGA-PBE)
Intensities are scaled so that the largest is 100.

Cell and atoms:
a = 8.015 Å, b = 8.015 Å, c = 8.300 Å
α = 102.14°, β = 102.14°, γ = 55.92°
Fractional positions:
Hf  0.036  0.750  0.999
Hf  0.041  0.041  0.319
Hf  0.084  0.294  0.744
Hf  0.250  0.964  0.001
Hf  0.346  0.517  0.769
Hf  0.349  0.179  0.446
Hf  0.483  0.654  0.231
Hf  0.706  0.916  0.256
Hf  0.821  0.651  0.554
Hf  0.959  0.959  0.681
In  0.584  0.052  0.771
In  0.676  0.324  0.500
In  0.779  0.221  0.000
In  0.948  0.416  0.229
Bi  0.152  0.632  0.394
Bi  0.356  0.296  0.074
Bi  0.368  0.848  0.606
Bi  0.704  0.644  0.926

The 8 most intense peaks (2θ = 10–90°), sorted by position:
| 2theta | I (rel.) |
| --- | --- |
| 32.58 | 73 |
| 33.08 | 100 |
| 34.58 | 83 |
| 34.73 | 71 |
| 35.06 | 58 |
| 36.90 | 83 |
| 37.71 | 58 |
| 39.06 | 63 |